Structure and calculated XRD peak list of Tb3Pm4Tl (a cell relaxed with GGA-PBE; Cu Kα).

Top 8 peaks for 10° ≤ 2θ ≤ 80°, low angle first:
- 2θ 29.64, rel. 23.6
- 2θ 30.02, rel. 47.1
- 2θ 31.11, rel. 53.2
- 2θ 32.63, rel. 51.1
- 2θ 32.98, rel. 100.0
- 2θ 37.44, rel. 25.7
- 2θ 50.87, rel. 26.1
- 2θ 60.84, rel. 30.3

Cell and atoms:
a = 11.498 Å, b = 6.246 Å, c = 7.086 Å
α = 90.00°, β = 90.00°, γ = 90.00°
Fractional coordinates of all 16 atoms:
Tb 0.000 0.167 0.000
Tb 0.244 0.984 0.750
Tb 0.256 0.016 0.250
Tb 0.500 0.833 0.500
Tb 0.744 0.016 0.250
Tb 0.756 0.984 0.750
Pm 0.000 0.159 0.500
Pm 0.000 0.685 0.249
Pm 0.249 0.502 0.501
Pm 0.251 0.498 0.001
Pm 0.500 0.315 0.749
Pm 0.500 0.841 0.000
Pm 0.749 0.498 0.001
Pm 0.751 0.502 0.501
Tl 0.000 0.660 0.755
Tl 0.500 0.340 0.255

Structure and calculated XRD peak list of YZnPd3 (a cell relaxed with GGA-PBE; Cu Kα).

Top 8 peaks for 10° ≤ 2θ ≤ 80°, low angle first:
- 2θ 10.27, rel. 100.0
- 2θ 18.05, rel. 94.9
- 2θ 32.27, rel. 66.5
- 2θ 35.01, rel. 59.4
- 2θ 36.58, rel. 87.6
- 2θ 40.65, rel. 52.6
- 2θ 42.45, rel. 93.7
- 2θ 47.60, rel. 83.4

Cell and atoms:
a = 9.349 Å, b = 9.349 Å, c = 9.349 Å
α = 148.17°, β = 148.17°, γ = 45.63°
Fractional coordinates of all 10 atoms:
Y 0.112 0.112 0.000
Y 0.888 0.888 0.000
Zn 0.250 0.750 0.500
Zn 0.500 0.500 0.000
Pd 0.373 0.127 0.754
Pd 0.373 0.620 0.246
Pd 0.380 0.627 0.754
Pd 0.523 0.023 0.500
Pd 0.873 0.627 0.246
Pd 0.977 0.477 0.500

Structure and calculated XRD peak list of K3Tl4Cd2 (a cell relaxed with GGA-PBE; Cu Kα).

Top 8 peaks for 10° ≤ 2θ ≤ 80°, low angle first:
- 2θ 18.86, rel. 62.7
- 2θ 22.03, rel. 44.7
- 2θ 29.02, rel. 45.7
- 2θ 29.29, rel. 39.5
- 2θ 32.45, rel. 33.6
- 2θ 32.87, rel. 60.5
- 2θ 33.20, rel. 100.0
- 2θ 39.91, rel. 54.1

Cell and atoms:
a = 6.689 Å, b = 6.689 Å, c = 10.224 Å
α = 113.08°, β = 113.08°, γ = 48.08°
Fractional coordinates of all 9 atoms:
K 0.000 0.000 0.000
K 0.305 0.305 0.365
K 0.695 0.695 0.635
Tl 0.002 0.002 0.653
Tl 0.278 0.278 0.934
Tl 0.722 0.722 0.066
Tl 0.998 0.998 0.347
Cd 0.452 0.452 0.765
Cd 0.548 0.548 0.235

Structure and calculated XRD peak list of BeV4 (a cell relaxed with GGA-PBE; Cu Kα).

Top 8 peaks for 10° ≤ 2θ ≤ 80°, low angle first:
- 2θ 33.27, rel. 18.1
- 2θ 36.82, rel. 57.4
- 2θ 41.98, rel. 100.0
- 2θ 42.57, rel. 30.7
- 2θ 50.45, rel. 21.6
- 2θ 53.05, rel. 13.6
- 2θ 69.84, rel. 13.2
- 2θ 70.27, rel. 14.1

Cell and atoms:
a = 5.605 Å, b = 5.605 Å, c = 5.605 Å
α = 103.96°, β = 103.96°, γ = 121.17°
Fractional coordinates of all 10 atoms:
Be 0.375 0.625 0.750
Be 0.625 0.375 0.250
V 0.179 0.731 0.448
V 0.218 0.269 0.948
V 0.269 0.218 0.448
V 0.269 0.821 0.052
V 0.731 0.179 0.948
V 0.731 0.782 0.552
V 0.782 0.731 0.052
V 0.821 0.269 0.552

Structure and calculated XRD peak list of PmY4Sc4 (a cell relaxed with GGA-PBE; Cu Kα).

Top 8 peaks for 10° ≤ 2θ ≤ 80°, low angle first:
- 2θ 12.12, rel. 17.1
- 2θ 24.37, rel. 6.3
- 2θ 26.58, rel. 15.8
- 2θ 31.81, rel. 100.0
- 2θ 36.90, rel. 49.5
- 2θ 53.17, rel. 33.0
- 2θ 63.31, rel. 37.9
- 2θ 66.48, rel. 10.8

Cell and atoms:
a = 7.700 Å, b = 7.700 Å, c = 7.700 Å
α = 95.76°, β = 95.76°, γ = 143.07°
Fractional coordinates of all 9 atoms:
Pm 0.000 0.000 0.000
Y 0.331 0.331 0.662
Y 0.331 0.669 0.000
Y 0.669 0.331 0.000
Y 0.669 0.669 0.338
Sc 0.000 0.342 0.342
Sc 0.000 0.658 0.658
Sc 0.342 0.000 0.342
Sc 0.658 0.000 0.658

Structure and calculated XRD peak list of Cs2Ca3ErF12 (a cell relaxed with GGA-PBE; Cu Kα).

Top 8 peaks for 10° ≤ 2θ ≤ 80°, low angle first:
- 2θ 15.23, rel. 35.7
- 2θ 21.76, rel. 61.1
- 2θ 25.18, rel. 80.5
- 2θ 25.43, rel. 100.0
- 2θ 26.67, rel. 39.0
- 2θ 43.73, rel. 34.2
- 2θ 44.35, rel. 36.7
- 2θ 51.68, rel. 38.0

Cell and atoms:
a = 8.282 Å, b = 8.282 Å, c = 8.282 Å
α = 59.11°, β = 59.11°, γ = 59.11°
Fractional coordinates of all 18 atoms:
Cs 0.113 0.113 0.113
Cs 0.887 0.887 0.887
Ca 0.000 0.500 0.500
Ca 0.500 0.000 0.500
Ca 0.500 0.500 0.000
Er 0.500 0.500 0.500
F 0.166 0.166 0.582
F 0.166 0.582 0.166
F 0.189 0.565 0.565
F 0.418 0.834 0.834
F 0.435 0.435 0.811
F 0.435 0.811 0.435
F 0.565 0.189 0.565
F 0.565 0.565 0.189
F 0.582 0.166 0.166
F 0.811 0.435 0.435
F 0.834 0.418 0.834
F 0.834 0.834 0.418

Structure and calculated XRD peak list of Dy3UO7 (a cell relaxed with GGA-PBE; Cu Kα).

Top 8 peaks for 10° ≤ 2θ ≤ 80°, low angle first:
- 2θ 28.49, rel. 100.0
- 2θ 28.79, rel. 96.7
- 2θ 33.18, rel. 71.1
- 2θ 47.21, rel. 16.4
- 2θ 47.66, rel. 60.2
- 2θ 47.99, rel. 14.0
- 2θ 56.24, rel. 30.2
- 2θ 56.73, rel. 40.3

Cell and atoms:
a = 6.590 Å, b = 6.590 Å, c = 7.701 Å
α = 90.00°, β = 90.00°, γ = 109.75°
Fractional coordinates of all 22 atoms:
Dy 0.000 0.000 0.000
Dy 0.000 0.000 0.500
Dy 0.031 0.505 0.750
Dy 0.495 0.969 0.750
Dy 0.505 0.031 0.250
Dy 0.969 0.495 0.250
U 0.500 0.500 0.000
U 0.500 0.500 0.500
O 0.133 0.867 0.750
O 0.134 0.866 0.250
O 0.163 0.414 0.030
O 0.163 0.414 0.470
O 0.404 0.596 0.750
O 0.414 0.163 0.530
O 0.414 0.163 0.970
O 0.586 0.837 0.030
O 0.586 0.837 0.470
O 0.596 0.404 0.250
O 0.837 0.586 0.530
O 0.837 0.586 0.970
O 0.866 0.134 0.750
O 0.867 0.133 0.250

Structure and calculated XRD peak list of Ho7Cd3 (a cell relaxed with GGA-PBE; Cu Kα).

Top 8 peaks for 10° ≤ 2θ ≤ 80°, low angle first:
- 2θ 28.24, rel. 37.5
- 2θ 30.39, rel. 100.0
- 2θ 33.58, rel. 82.5
- 2θ 33.83, rel. 93.4
- 2θ 36.04, rel. 41.8
- 2θ 54.86, rel. 23.5
- 2θ 55.29, rel. 20.9
- 2θ 62.27, rel. 30.2

Cell and atoms:
a = 9.970 Å, b = 9.970 Å, c = 6.791 Å
α = 90.00°, β = 90.00°, γ = 120.00°
Fractional coordinates of all 20 atoms:
Ho 0.060 0.530 0.000
Ho 0.126 0.251 0.737
Ho 0.126 0.874 0.737
Ho 0.251 0.126 0.237
Ho 0.333 0.667 0.617
Ho 0.470 0.530 0.000
Ho 0.470 0.940 0.000
Ho 0.530 0.060 0.500
Ho 0.530 0.470 0.500
Ho 0.667 0.333 0.117
Ho 0.749 0.874 0.737
Ho 0.874 0.126 0.237
Ho 0.874 0.749 0.237
Ho 0.940 0.470 0.500
Cd 0.206 0.412 0.299
Cd 0.206 0.794 0.299
Cd 0.412 0.206 0.799
Cd 0.588 0.794 0.299
Cd 0.794 0.206 0.799
Cd 0.794 0.588 0.799